Theoretical powder diffractogram of TaV5P2 for copper Kα, from a DFT-relaxed cell (PBE, Alexandria).
No peak broadening, texture or thermal motion is included.

```
TaV5P2
1.0
-1.6214 3.7152 4.5489
1.6214 -3.7152 4.5489
1.6214 3.7152 -4.5489
Ta V P
1 5 2
Direct
0.0000 0.0000 0.0000
0.1582 0.3465 0.8117
0.4652 0.6535 0.8117
0.5000 0.0000 0.5000
0.5348 0.3465 0.1883
0.8418 0.6535 0.1883
0.2267 0.7267 0.5000
0.7733 0.2733 0.5000
```

Peak list (10 most intense, 2θ = 10–80°, sorted by position)
| Position (°2θ) | I (rel.) |
| --- | --- |
| 15.40 | 40 |
| 30.07 | 21 |
| 31.08 | 46 |
| 31.87 | 28 |
| 36.10 | 33 |
| 37.64 | 34 |
| 38.14 | 100 |
| 40.74 | 91 |
| 46.83 | 45 |
| 50.52 | 31 |